No. 1
# Pr2Pa2Sb2C
Calculated PXRD pattern, copper Kα. Input: the GGA-PBE geometry in Alexandria.
Neutral-atom scattering factors, no anomalous dispersion.

The 6 most intense peaks (15 to 90 degrees two-theta), sorted by position:
- 2θ 28.94, rel. 92, hkl 1 1 2
- 2θ 31.63, rel. 35, hkl 0 0 6
- 2θ 34.35, rel. 100, hkl 1 1 4
- 2θ 38.44, rel. 55, hkl 2 0 0
- 2θ 50.60, rel. 38, hkl 2 0 6
- 2θ 66.92, rel. 30, hkl 3 1 4

Atomic structure:
Lattice parameters (Å, degrees): 4.6833 4.6833 16.9750 90.00 90.00 90.00
Positions (direct):
Pr (0.0000, 0.0000, 0.1672)
Pr (0.0000, 0.0000, 0.8328)
Pr (0.5000, 0.5000, 0.3328)
Pr (0.5000, 0.5000, 0.6672)
Pa (0.0000, 0.5000, 0.0000)
Pa (0.0000, 0.5000, 0.5000)
Pa (0.5000, 0.0000, 0.0000)
Pa (0.5000, 0.0000, 0.5000)
Sb (0.0000, 0.0000, 0.3625)
Sb (0.0000, 0.0000, 0.6375)
Sb (0.5000, 0.5000, 0.1375)
Sb (0.5000, 0.5000, 0.8625)
C (0.0000, 0.0000, 0.0000)
C (0.5000, 0.5000, 0.5000)



No. 2
# Ac4Zn2Ga5
Calculated PXRD pattern, copper Kα. Input: the GGA-PBE geometry in Alexandria.
Neutral-atom scattering factors, no anomalous dispersion.

The 6 most intense peaks (15 to 90 degrees two-theta), sorted by position:
- 2θ 25.07, rel. 28, hkl 1 0 2
- 2θ 29.67, rel. 100, hkl 1 1 -2
- 2θ 30.86, rel. 77, hkl 2 1 0
- 2θ 31.42, rel. 73, hkl 1 1 2
- 2θ 37.80, rel. 41, hkl 0 2 0
- 2θ 40.65, rel. 23, hkl 3 0 -2

Atomic structure:
Lattice parameters (Å, degrees): 7.3447 4.7597 8.6544 90.00 95.89 90.00
Positions (direct):
Ac (0.2163, 0.0000, 0.1429)
Ac (0.2769, 0.0000, 0.6440)
Ac (0.7231, 0.0000, 0.3560)
Ac (0.7837, 0.0000, 0.8571)
Zn (0.0617, 0.5000, 0.3749)
Zn (0.9383, 0.5000, 0.6251)
Ga (0.1281, 0.5000, 0.8870)
Ga (0.4038, 0.5000, 0.3687)
Ga (0.5000, 0.5000, 0.0000)
Ga (0.5962, 0.5000, 0.6313)
Ga (0.8719, 0.5000, 0.1130)



No. 3
# Rb2Sn3Sb2S10
Calculated PXRD pattern, copper Kα. Input: the GGA-PBE geometry in Alexandria.
Neutral-atom scattering factors, no anomalous dispersion.

The 6 most intense peaks (15 to 90 degrees two-theta), sorted by position:
- 2θ 18.00, rel. 67, hkl 1 2 -1
- 2θ 23.09, rel. 100, hkl 1 3 -1
- 2θ 23.77, rel. 49, hkl 1 2 1
- 2θ 25.63, rel. 40, hkl 1 2 -3
- 2θ 26.11, rel. 50, hkl 0 1 3
- 2θ 28.88, rel. 86, hkl 2 0 0

Atomic structure:
Lattice parameters (Å, degrees): 7.0989 13.7851 12.1213 90.00 119.52 90.00
Positions (direct):
Rb (0.0634, 0.1715, 0.1704)
Rb (0.0634, 0.3285, 0.6704)
Rb (0.9366, 0.6715, 0.3296)
Rb (0.9366, 0.8285, 0.8296)
Sn (0.0000, 0.0000, 0.5000)
Sn (0.0000, 0.5000, 0.0000)
Sn (0.3888, 0.0490, 0.8462)
Sn (0.3888, 0.4510, 0.3462)
Sn (0.6112, 0.5490, 0.6538)
Sn (0.6112, 0.9510, 0.1538)
Sb (0.4907, 0.1427, 0.5960)
Sb (0.4907, 0.3573, 0.0960)
Sb (0.5093, 0.6427, 0.9040)
Sb (0.5093, 0.8573, 0.4040)
S (0.0017, 0.0523, 0.7074)
S (0.0017, 0.4477, 0.2074)
S (0.0988, 0.1732, 0.4669)
S (0.0988, 0.3268, 0.9669)
S (0.4196, 0.5284, 0.1309)
S (0.4196, 0.9716, 0.6309)
S (0.4260, 0.1031, 0.0559)
S (0.4260, 0.3969, 0.5559)
S (0.4356, 0.6900, 0.6844)
S (0.4356, 0.8100, 0.1844)
S (0.5644, 0.1900, 0.8156)
S (0.5644, 0.3100, 0.3156)
S (0.5740, 0.6031, 0.4441)
S (0.5740, 0.8969, 0.9441)
S (0.5804, 0.0284, 0.3691)
S (0.5804, 0.4716, 0.8691)
S (0.9012, 0.6732, 0.0331)
S (0.9012, 0.8268, 0.5331)
S (0.9983, 0.5523, 0.7926)
S (0.9983, 0.9477, 0.2926)